Entry 1:
Theoretical powder diffractogram
Compound: Pm3CoC
Radiation: Cu Kα (λ = 1.5418 Å)
Structure: the GGA-PBE geometry in Alexandria
No peak broadening, texture or thermal motion is included.

Cell and atoms:
```
data_Pm3CoC
_chemical_formula_sum 'Pm12 Co4 C4'
_cell_length_a 8.5709
_cell_length_b 6.3145
_cell_length_c 8.9803
_cell_angle_alpha 90.00
_cell_angle_beta 113.15
_cell_angle_gamma 90.00
_symmetry_space_group_name_H-M 'P 1 21/c 1'
_symmetry_Int_Tables_number 14
_symmetry_space_group_name_Hall '-P 2ybc'
loop_
_atom_site_label
_atom_site_type_symbol
_atom_site_fract_x
_atom_site_fract_y
_atom_site_fract_z
Pm1 Pm 0.0987 0.0597 0.3605
Pm2 Pm 0.2063 0.5970 0.5565
Pm3 Pm 0.3791 0.1146 0.7703
Co1 Co 0.4285 0.6401 0.9239
C1 C 0.0841 0.2461 0.6023
```

Principal peaks in the range 2θ from 10° to 80°, in order of rising 2θ:
| h k l | d [Å] | I_rel |
| --- | --- | --- |
| 1 2 -1 | 2.899 | 78.5 |
| 1 1 2 | 2.840 | 34.7 |
| 2 1 1 | 2.792 | 100.0 |
| 3 0 -2 | 2.762 | 73.5 |
| 1 1 -3 | 2.702 | 98.3 |
| 2 2 -1 | 2.538 | 31.0 |
| 2 1 -4 | 2.097 | 27.3 |
| 1 3 2 | 1.755 | 24.8 |

---

Entry 2:
Theoretical powder diffractogram
Compound: Pm2CoC
Radiation: Cu Kα (λ = 1.5418 Å)
Structure: the GGA-PBE geometry in Alexandria
No peak broadening, texture or thermal motion is included.

Cell and atoms:
```
data_Pm2CoC
_chemical_formula_sum 'Pm8 Co4 C4'
_cell_length_a 14.0186
_cell_length_b 3.6443
_cell_length_c 7.3591
_cell_angle_alpha 90.00
_cell_angle_beta 105.16
_cell_angle_gamma 90.00
_symmetry_space_group_name_H-M 'C 1 2/c 1'
_symmetry_Int_Tables_number 15
_symmetry_space_group_name_Hall '-C 2yc'
loop_
_atom_site_label
_atom_site_type_symbol
_atom_site_fract_x
_atom_site_fract_y
_atom_site_fract_z
Pm1 Pm 0.1263 0.0011 0.0630
Co1 Co 0.0000 0.4994 0.7500
C1 C 0.0000 0.0006 0.2500
```

Principal peaks in the range 2θ from 10° to 80°, in order of rising 2θ:
| h k l | d [Å] | I_rel |
| --- | --- | --- |
| 0 0 2 | 3.551 | 33.1 |
| 1 1 0 | 3.519 | 45.4 |
| 4 0 0 | 3.383 | 40.9 |
| 4 0 -2 | 2.851 | 89.6 |
| 3 1 0 | 2.835 | 75.0 |
| 1 1 -2 | 2.589 | 100.0 |
| 4 0 2 | 2.180 | 37.4 |
| 3 1 2 | 2.056 | 50.3 |